Structure and calculated powder XRD pattern of Sr3CoF7 (a DFT-relaxed cell (GGA+U, Alexandria); Cu Kα (weighted mean of Kα1 and Kα2)).
Peak positions follow from Bragg's law for the DFT cell and can differ from measured ones.

Most intense lines, 2θ = 5–70°, low angle first:
2θ 25.1, I 24; 2θ 27.4, I 100; 2θ 27.6, I 84; 2θ 29.8, I 17; 2θ 31.8, I 31; 2θ 43.4, I 19; 2θ 45.3, I 27; 2θ 45.7, I 58; 2θ 47.9, I 17; 2θ 53.9, I 25

Structural model:
Cell lengths 11.2284, 7.9088, 8.0042 Å; angles 90.00, 90.00, 90.00 degrees
Space group Cmcm (No. 63)
Inequivalent atoms, fractional coordinates:
Sr 0.0000 0.0000 0.0000
Sr 0.2139 0.3145 0.2500
Co 0.0000 0.5000 0.0000
F 0.0000 0.4033 0.2500
F 0.1291 0.2702 0.5377
F 0.1326 0.0323 0.2500